(1)
Starting from the GGA-PBE geometry in Alexandria, the PXRD pattern of Rb4AlI7 was computed for Cu Kα, 1.54184 Å.
Lines closer than 0.1° are merged.

Crystal structure
Cell: 8.9118 8.9118 11.2113 Å, 109.41 109.41 49.77°
Atoms (fractional coordinates):
Rb 0.1025 0.1025 0.2788
Rb 0.3490 0.3712 0.0242
Rb 0.6288 0.6510 0.9758
Rb 0.8975 0.8975 0.7212
Al 0.4946 0.5054 0.5000
I 0.1147 0.1405 0.9725
I 0.1871 0.5350 0.3546
I 0.4182 0.4264 0.7106
I 0.4650 0.8129 0.6454
I 0.5736 0.5818 0.2894
I 0.8361 0.1639 0.5000
I 0.8595 0.8853 0.0275

Peak list (6 most intense, 10 to 80 degrees two-theta, by angle)
2θ/deg, d (Å), Rel. int.
23.69, 3.755, 100
23.94, 3.717, 42
25.26, 3.526, 48
25.62, 3.477, 36
27.84, 3.205, 65
29.21, 3.057, 78

(2)
Starting from the GGA-PBE geometry in Alexandria, the PXRD pattern of RbAl2I6 was computed for Cu Kα, 1.54184 Å.
Lines closer than 0.1° are merged.

Crystal structure
Cell: 9.4210 9.4210 9.4210 Å, 52.81 52.81 52.81°
Atoms (fractional coordinates):
Rb 0.0000 0.0000 0.0000
Al 0.2588 0.2588 0.2588
Al 0.3745 0.3745 0.3745
I 0.0812 0.4661 0.6576
I 0.2100 0.9491 0.5337
I 0.4661 0.6576 0.0812
I 0.5337 0.2100 0.9491
I 0.6576 0.0812 0.4661
I 0.9491 0.5337 0.2100

Peak list (6 most intense, 10 to 80 degrees two-theta, by angle)
2θ/deg, d (Å), Rel. int.
22.00, 4.040, 38
23.92, 3.720, 100
25.63, 3.476, 15
30.74, 2.909, 23
37.17, 2.419, 18
39.77, 2.266, 25